Diffraction record for Sr6MgW4O18. The XRD peak list is simulated, not measured: it uses the PBE+U geometry in Alexandria and Cu Kα (weighted mean of Kα1 and Kα2).
Peak positions follow from Bragg's law for the DFT cell and can differ from measured ones.

Structural model:
Lattice parameters (Å, degrees): 6.8783 7.2696 9.1686 77.88 79.36 86.94
Positions (direct):
Sr (0.0000, 0.0000, 0.0000)
Sr (0.1028, 0.9161, 0.5180)
Sr (0.2406, 0.3965, 0.2628)
Sr (0.4316, 0.2131, 0.7580)
Sr (0.6224, 0.6180, 0.4415)
Sr (0.7450, 0.5093, 0.0176)
Mg (0.6239, 0.7976, 0.7618)
W (0.0119, 0.4372, 0.6348)
W (0.2119, 0.6218, 0.8365)
W (0.5181, 0.9324, 0.1298)
W (0.6889, 0.0941, 0.3527)
O (0.0090, 0.5925, 0.4441)
O (0.0803, 0.6172, 0.0361)
O (0.0821, 0.3444, 0.8476)
O (0.1483, 0.2353, 0.5696)
O (0.2868, 0.5712, 0.6227)
O (0.3040, 0.8832, 0.7720)
O (0.3162, 0.0773, 0.0491)
O (0.4224, 0.9649, 0.3539)
O (0.4824, 0.6623, 0.1909)
O (0.4838, 0.5496, 0.8640)
O (0.5530, 0.2992, 0.4135)
O (0.6448, 0.1954, 0.1359)
O (0.6794, 0.9128, 0.9260)
O (0.7022, 0.9289, 0.5437)
O (0.7553, 0.3622, 0.6703)
O (0.7729, 0.8773, 0.2376)
O (0.9331, 0.6708, 0.7457)
O (0.9487, 0.1748, 0.3127)

Main lines, by angle (2θ = 10–90°):
2theta	d (Å)	I (rel.)	index
17.55	5.053	77	0 1 -1
17.91	4.953	100	1 0 -1
28.87	3.092	62	0 2 2
30.63	2.919	61	1 1 -2
30.93	2.891	56	1 0 3
31.28	2.860	72	1 -2 1